(1)
For NpTlVI6, a structure optimized by DFT (GGA-PBE) gives the simulated X-ray diffraction stick pattern in this record (Cu Ka).

Cell and atoms:
```
NpTlVI6
1.0
7.609 0.000 0.000
-3.804 6.589 0.000
0.000 0.000 15.719
Np Tl V I
2 2 2 12
direct
0.333 0.667 0.250
0.667 0.333 0.750
0.000 0.000 0.000
0.000 0.000 0.500
0.333 0.667 0.750
0.667 0.333 0.250
0.025 0.374 0.640
0.025 0.651 0.860
0.349 0.374 0.860
0.349 0.975 0.640
0.374 0.025 0.140
0.374 0.349 0.360
0.626 0.651 0.640
0.626 0.975 0.860
0.651 0.025 0.360
0.651 0.626 0.140
0.975 0.349 0.140
0.975 0.626 0.360
```

Top 10 peaks for 2θ = 10–90°, low angle first:
two_theta, I (rel.), index
17.56, 80, 1 0 2
26.02, 95, 1 1 2
29.39, 18, 2 0 2
32.76, 100, 1 1 4
37.90, 28, 2 1 2
41.09, 47, 3 0 0
41.87, 25, 2 -1 6
53.52, 22, 4 -2 4
63.53, 19, 3 0 8
69.63, 17, 4 1 4

=====

(2)
For NpZnI6, a structure optimized by DFT (GGA-PBE) gives the simulated X-ray diffraction stick pattern in this record (Cu Ka).

Cell and atoms:
```
NpZnI6
1.0
7.449 0.000 0.000
0.000 13.926 0.000
-2.677 0.000 6.968
Np Zn I
2 2 12
direct
0.000 0.000 0.000
0.500 0.500 0.000
0.000 0.500 0.500
0.500 0.000 0.500
0.229 0.355 0.731
0.229 0.645 0.731
0.238 0.000 0.760
0.262 0.500 0.240
0.271 0.145 0.269
0.271 0.855 0.269
0.729 0.145 0.731
0.729 0.855 0.731
0.738 0.500 0.760
0.762 0.000 0.240
0.771 0.355 0.269
0.771 0.645 0.269
```

Top 10 peaks for 2θ = 10–90°, low angle first:
two_theta, I (rel.), index
12.71, 58, 0 2 0
15.76, 49, 1 1 -1
24.03, 25, 1 3 -1
25.59, 24, 0 0 2
28.58, 100, 1 3 1
29.06, 48, 2 0 -2
36.51, 22, 0 4 2
38.76, 36, 0 6 0
41.21, 67, 1 3 -3
49.17, 32, 2 6 -2

=====

(3)
For I3O8, a structure optimized by DFT (GGA-PBE) gives the simulated X-ray diffraction stick pattern in this record (Cu Ka).

Cell and atoms:
```
I3O8
1.0
7.485 0.000 0.000
-0.626 7.779 0.000
-1.367 -0.151 12.688
I O
12 32
direct
0.028 0.259 0.334
0.156 0.694 0.141
0.206 0.762 0.427
0.292 0.167 0.604
0.352 0.290 0.866
0.377 0.769 0.875
0.623 0.231 0.125
0.648 0.710 0.134
0.708 0.833 0.396
0.794 0.238 0.573
0.844 0.306 0.859
0.972 0.741 0.666
0.075 0.056 0.629
0.096 0.482 0.310
0.106 0.216 0.878
0.110 0.786 0.796
0.171 0.708 0.591
0.197 0.317 0.509
0.202 0.847 0.041
0.221 0.834 0.259
0.282 0.525 0.897
0.290 0.348 0.716
0.294 0.986 0.455
0.394 0.250 0.015
0.408 0.076 0.824
0.409 0.601 0.143
0.419 0.669 0.440
0.492 0.253 0.231
0.508 0.747 0.769
0.581 0.331 0.560
0.591 0.399 0.857
0.592 0.924 0.176
0.606 0.750 0.985
0.706 0.014 0.545
0.710 0.652 0.284
0.718 0.475 0.103
0.779 0.166 0.741
0.798 0.153 0.959
0.803 0.683 0.491
0.829 0.292 0.409
0.890 0.214 0.204
0.894 0.784 0.122
0.904 0.518 0.690
0.925 0.944 0.371
```

Top 10 peaks for 2θ = 10–90°, low angle first:
two_theta, I (rel.), index
13.16, 45, 1 0 -1
13.28, 39, 0 1 -1
22.87, 100, 0 2 0
24.05, 32, 0 1 3
24.27, 35, 2 0 -1
25.74, 24, 2 0 1
27.37, 22, 2 -1 1
28.12, 43, 0 0 4
30.30, 31, 2 0 -3
37.20, 30, -2 2 3

=====

Which formula does entry 3 have? I3O8